# 1
# Ac2Sn5Ge
Simulated powder diffraction line list, a wavelength of 1.5418 Å. Input: a DFT-relaxed cell (PBE, Alexandria).
Peak positions follow from Bragg's law for the DFT cell and can differ from measured ones.

a = 6.8548 Å, b = 6.8548 Å, c = 9.9806 Å
α = 90.00°, β = 90.00°, γ = 90.00°
Space group I4mm (No. 107)
Inequivalent atoms, fractional coordinates:
Ac 0.0000 0.5000 0.0000
Sn 0.0000 0.0000 0.0044
Sn 0.2379 0.2379 0.2505
Ge 0.0000 0.0000 0.4518

Principal peaks in the range 10° ≤ 2θ ≤ 90°, by angle:
- 2θ = 25.62°, I = 9.5
- 2θ = 31.67°, I = 100.0
- 2θ = 35.99°, I = 16.9
- 2θ = 37.10°, I = 33.4
- 2θ = 52.65°, I = 22.9
- 2θ = 53.47°, I = 11.7
- 2θ = 62.01°, I = 13.2
- 2θ = 63.49°, I = 27.4
- 2θ = 66.15°, I = 11.5
- 2θ = 86.30°, I = 10.8

***

# 2
# AcSn2Ge2
Simulated powder diffraction line list, a wavelength of 1.5418 Å. Input: a DFT-relaxed cell (PBE, Alexandria).
Peak positions follow from Bragg's law for the DFT cell and can differ from measured ones.

a = 4.4779 Å, b = 4.6795 Å, c = 25.8827 Å
α = 90.00°, β = 90.00°, γ = 90.00°
Space group Imma (No. 74)
Inequivalent atoms, fractional coordinates:
Ac 0.0000 0.2500 0.0753
Sn 0.0000 0.2500 0.3041
Sn 0.0000 0.2500 0.8040
Ge 0.0000 0.2500 0.5215
Ge 0.0000 0.2500 0.6194

Principal peaks in the range 10° ≤ 2θ ≤ 90°, by angle:
- 2θ = 27.57°, I = 11.2
- 2θ = 30.90°, I = 100.0
- 2θ = 31.37°, I = 17.6
- 2θ = 34.66°, I = 14.8
- 2θ = 36.68°, I = 11.8
- 2θ = 38.48°, I = 21.4
- 2θ = 40.28°, I = 18.9
- 2θ = 56.92°, I = 16.0
- 2θ = 64.92°, I = 19.0
- 2θ = 67.43°, I = 11.2

***

# 3
# Ac7Sn4Ge
Simulated powder diffraction line list, a wavelength of 1.5418 Å. Input: a DFT-relaxed cell (PBE, Alexandria).
Peak positions follow from Bragg's law for the DFT cell and can differ from measured ones.

a = 16.7387 Å, b = 5.9527 Å, c = 11.9811 Å
α = 90.00°, β = 126.77°, γ = 90.00°
Space group C2/m (No. 12)
Inequivalent atoms, fractional coordinates:
Ac 0.0000 0.0000 0.0000
Ac 0.0732 0.5000 0.3003
Ac 0.1493 0.0000 0.5634
Ac 0.2104 0.5000 0.8665
Sn 0.0790 0.0000 0.7782
Sn 0.2210 0.0000 0.3430
Ge 0.0000 0.5000 0.0000

Principal peaks in the range 10° ≤ 2θ ≤ 90°, by angle:
- 2θ = 21.51°, I = 58.5
- 2θ = 22.25°, I = 36.7
- 2θ = 30.02°, I = 61.0
- 2θ = 30.59°, I = 100.0
- 2θ = 31.18°, I = 50.6
- 2θ = 31.69°, I = 82.3
- 2θ = 37.70°, I = 28.7
- 2θ = 43.83°, I = 40.6
- 2θ = 53.66°, I = 21.5
- 2θ = 54.39°, I = 37.3